The following is a computed powder X-ray diffraction pattern of Li8CoO4F2. It was derived from a crystal structure in Alexandria, relaxed with GGA+U, using a wavelength of 1.5418 Å.
Kinematic intensities with the Lorentz-polarization factor, no thermal factor.

The 12 most intense peaks (2θ from 15° to 90°), in order of rising 2θ:
- d = 5.215 Å, I 55
- d = 4.745 Å, I 70
- d = 4.597 Å, I 52
- d = 4.436 Å, I 68
- d = 4.242 Å, I 67
- d = 4.179 Å, I 69
- d = 3.878 Å, I 51
- d = 2.559 Å, I 85
- d = 2.513 Å, I 100
- d = 2.293 Å, I 45
- d = 1.782 Å, I 34
- d = 1.656 Å, I 38

Crystal structure
```
Li8CoO4F2
1.0
5.392 0.000 0.000
2.605 4.967 0.000
1.605 1.734 10.430
Li Co O F
16 2 8 4
Direct
0.018 0.231 0.338
0.062 0.932 0.165
0.266 0.367 0.811
0.279 0.662 0.958
0.340 0.069 0.668
0.357 0.314 0.187
0.375 0.580 0.317
0.416 0.751 0.508
0.584 0.249 0.492
0.625 0.420 0.683
0.643 0.686 0.813
0.660 0.931 0.332
0.721 0.338 0.042
0.734 0.633 0.189
0.938 0.068 0.835
0.982 0.769 0.662
0.000 0.500 0.500
0.500 0.000 0.000
0.296 0.452 0.615
0.308 0.001 0.864
0.325 0.255 0.382
0.412 0.646 0.122
0.588 0.354 0.878
0.675 0.745 0.618
0.692 0.999 0.136
0.704 0.548 0.385
0.029 0.300 0.144
0.032 0.889 0.360
0.968 0.111 0.640
0.971 0.700 0.856
```